Theoretical XRD peak list of Dy6RuPt3 for Cu Kα X-rays, from the PBE geometry in Alexandria.
Kinematic intensities with the Lorentz-polarization factor, no thermal factor.

Structural model:
a = 8.1309 Å, b = 12.2439 Å, c = 4.8361 Å
α = 90.00°, β = 90.00°, γ = 90.00°
Space group Pnnm (No. 58)
Inequivalent atoms, fractional coordinates:
Dy 0.0021 0.2402 0.0000
Dy 0.1466 0.4060 0.5000
Dy 0.1795 0.0738 0.5000
Ru 0.0000 0.5000 0.0000
Pt 0.0000 0.0000 0.0000
Pt 0.1679 0.8322 0.5000

Peak list (10 most intense, 10° ≤ 2θ ≤ 90°, in order of rising 2θ)
| 2θ (°) | d (Å) | Rel. int. | (hkl) |
| --- | --- | --- | --- |
| 18.14 | 4.891 | 206 | 1 2 0 |
| 30.70 | 2.912 | 410 | 1 3 1 |
| 31.05 | 2.880 | 198 | 2 3 0 |
| 32.27 | 2.774 | 166 | 2 2 1 |
| 36.45 | 2.465 | 663 | 1 4 1 |
| 36.75 | 2.445 | 284 | 2 4 0 |
| 37.18 | 2.418 | 555 | 0 0 2 |
| 38.06 | 2.364 | 1000 | 3 0 1 |
| 53.28 | 1.719 | 197 | 2 4 2 |
| 67.58 | 1.386 | 305 | 3 0 3 |